Entry 1:
# Dy2Ti12Cu9O36
Simulated powder diffraction line list, Cu Kα, 1.54184 Å. Input: a structure optimized by DFT (PBE).
Intensities are scaled so that the largest is 100.

Largest 10 diffraction maxima, low angle first, 2θ from 10° to 90°:
16.84 deg, d 5.264, I 8; 23.92 deg, d 3.721, I 7; 34.08 deg, d 2.631, I 100; 38.25 deg, d 2.353, I 9; 42.09 deg, d 2.147, I 7; 48.96 deg, d 1.860, I 28; 60.90 deg, d 1.521, I 12; 61.03 deg, d 1.518, I 36; 81.82 deg, d 1.177, I 8; 81.93 deg, d 1.176, I 8

Cell and atoms:
Cell: 10.514 10.514 6.455 Å, 90.00 90.00 120.00°
Positions (direct):
Dy 0.333 0.667 0.170
Dy 0.667 0.333 0.830
Ti 0.000 0.000 0.000
Ti 0.000 0.500 0.000
Ti 0.157 0.319 0.338
Ti 0.161 0.843 0.338
Ti 0.319 0.161 0.662
Ti 0.333 0.667 0.659
Ti 0.500 0.000 0.000
Ti 0.500 0.500 0.000
Ti 0.667 0.333 0.341
Ti 0.681 0.839 0.338
Ti 0.839 0.157 0.662
Ti 0.843 0.681 0.662
Cu 0.000 0.500 0.500
Cu 0.169 0.337 0.840
Cu 0.169 0.831 0.840
Cu 0.337 0.169 0.160
Cu 0.500 0.000 0.500
Cu 0.500 0.500 0.500
Cu 0.663 0.831 0.840
Cu 0.831 0.169 0.160
Cu 0.831 0.663 0.160
O 0.016 0.165 0.170
O 0.044 0.270 0.590
O 0.076 0.450 0.250
O 0.119 0.707 0.088
O 0.149 0.984 0.170
O 0.165 0.149 0.830
O 0.177 0.527 0.855
O 0.193 0.683 0.483
O 0.225 0.956 0.590
O 0.270 0.225 0.410
O 0.293 0.412 0.088
O 0.317 0.510 0.483
O 0.351 0.823 0.855
O 0.375 0.924 0.250
O 0.412 0.119 0.912
O 0.450 0.375 0.750
O 0.473 0.649 0.855
O 0.490 0.807 0.483
O 0.510 0.193 0.517
O 0.527 0.351 0.145
O 0.550 0.625 0.250
O 0.588 0.881 0.088
O 0.625 0.076 0.750
O 0.649 0.177 0.145
O 0.683 0.490 0.517
O 0.707 0.588 0.912
O 0.730 0.775 0.590
O 0.775 0.044 0.410
O 0.807 0.317 0.517
O 0.823 0.473 0.145
O 0.835 0.851 0.170
O 0.851 0.016 0.830
O 0.881 0.293 0.912
O 0.924 0.550 0.750
O 0.956 0.730 0.410
O 0.984 0.835 0.830

***

Entry 2:
# Dy5Cu4Os
Simulated powder diffraction line list, Cu Kα, 1.54184 Å. Input: a structure optimized by DFT (PBE).
Intensities are scaled so that the largest is 100.

Largest 10 diffraction maxima, low angle first, 2θ from 10° to 90°:
10.07 deg, d 8.780, I 5; 25.97 deg, d 3.431, I 9; 36.61 deg, d 2.454, I 100; 37.05 deg, d 2.426, I 49; 52.08 deg, d 1.756, I 9; 53.40 deg, d 1.716, I 17; 65.63 deg, d 1.423, I 18; 66.49 deg, d 1.406, I 34; 77.84 deg, d 1.227, I 11; 88.18 deg, d 1.108, I 8

Cell and atoms:
Cell: 3.431 3.431 17.560 Å, 90.00 90.00 90.00°
Positions (direct):
Dy 0.000 0.000 0.000
Dy 0.000 0.000 0.201
Dy 0.000 0.000 0.405
Dy 0.000 0.000 0.595
Dy 0.000 0.000 0.799
Cu 0.500 0.500 0.100
Cu 0.500 0.500 0.298
Cu 0.500 0.500 0.702
Cu 0.500 0.500 0.900
Os 0.500 0.500 0.500

***

Entry 3:
# DyCuOs
Simulated powder diffraction line list, Cu Kα, 1.54184 Å. Input: a structure optimized by DFT (PBE).
Intensities are scaled so that the largest is 100.

Largest 10 diffraction maxima, low angle first, 2θ from 10° to 90°:
20.60 deg, d 4.312, I 19; 33.63 deg, d 2.665, I 35; 34.58 deg, d 2.594, I 24; 38.87 deg, d 2.317, I 58; 40.66 deg, d 2.219, I 100; 41.88 deg, d 2.157, I 23; 41.98 deg, d 2.152, I 26; 62.38 deg, d 1.489, I 14; 66.13 deg, d 1.413, I 24; 70.70 deg, d 1.332, I 27

Cell and atoms:
Cell: 5.339 5.339 5.339 Å, 122.08 121.87 86.62°
Positions (direct):
Dy 0.370 0.120 0.250
Dy 0.630 0.880 0.750
Cu 0.000 0.500 0.500
Cu 0.500 0.500 0.000
Os 0.000 0.000 0.500
Os 0.000 0.500 0.000

***

Entry 4:
# PmDyCuOs
Simulated powder diffraction line list, Cu Kα, 1.54184 Å. Input: a structure optimized by DFT (PBE).
Intensities are scaled so that the largest is 100.

Largest 10 diffraction maxima, low angle first, 2θ from 10° to 90°:
22.15 deg, d 4.014, I 10; 36.56 deg, d 2.458, I 100; 43.16 deg, d 2.096, I 6; 52.66 deg, d 1.738, I 18; 57.81 deg, d 1.595, I 3; 65.81 deg, d 1.419, I 36; 70.37 deg, d 1.338, I 2; 77.70 deg, d 1.229, I 11; 82.00 deg, d 1.175, I 2; 89.07 deg, d 1.099, I 16

Cell and atoms:
Cell: 4.916 4.916 4.916 Å, 60.00 60.00 60.00°
Positions (direct):
Pm 0.000 0.000 0.000
Dy 0.500 0.500 0.500
Cu 0.250 0.250 0.250
Os 0.750 0.750 0.750

***

Which formula does entry 3 have? DyCuOs